(1)
Theoretical X-ray diffraction stick pattern of TbZnSb2 for copper Kα, from a structure optimized by DFT (PBE).
Neutral-atom scattering factors, no anomalous dispersion.

Principal peaks in the range 2θ = 5–70°, by angle:
2theta  Rel. int.
33.98  86.6
34.15  100.0
35.46  40.3
36.18  49.9
36.86  18.1
51.57  31.8

Structural model:
Unit cell a=12.459 b=4.965 c=6.387 alpha=90.00 beta=90.00 gamma=90.00
Space group Pnma (No. 62)
Symmetry-distinct sites (fractional):
Tb (0.092, 0.250, 0.147) x4
Zn (0.189, 0.750, 0.428) x4
Sb (0.035, 0.250, 0.645) x4
Sb (0.188, 0.750, 0.876) x4

(2)
Theoretical X-ray diffraction stick pattern of Pm7In2Ge for copper Kα, from a structure optimized by DFT (PBE).
Neutral-atom scattering factors, no anomalous dispersion.

Principal peaks in the range 2θ = 5–70°, by angle:
2theta  Rel. int.
15.95  24.7
27.81  87.1
32.22  100.0
46.21  73.1
54.80  39.0
57.45  25.3

Structural model:
Unit cell a=11.112 b=11.112 c=11.112 alpha=90.00 beta=90.00 gamma=90.00
Space group Fm-3m (No. 225)
Symmetry-distinct sites (fractional):
Pm (0.000, 0.000, 0.000) x4
Pm (0.000, 0.000, 0.254) x24
In (0.250, 0.250, 0.250) x8
Ge (0.000, 0.000, 0.500) x4

(3)
Theoretical X-ray diffraction stick pattern of Ce2RuC2 for copper Kα, from a structure optimized by DFT (PBE).
Neutral-atom scattering factors, no anomalous dispersion.

Principal peaks in the range 2θ = 5–70°, by angle:
2theta  Rel. int.
32.15  75.1
33.08  47.2
33.76  100.0
34.20  77.2
35.08  53.1
48.31  35.5

Structural model:
Unit cell a=6.483 b=5.244 c=9.855 alpha=90.00 beta=90.00 gamma=90.00
Space group Pnma (No. 62)
Symmetry-distinct sites (fractional):
Ce (0.016, 0.250, 0.220) x4
Ce (0.191, 0.250, 0.546) x4
Ru (0.224, 0.250, 0.864) x4
C (0.035, 0.750, 0.246) x4
C (0.167, 0.750, 0.558) x4

(4)
Theoretical X-ray diffraction stick pattern of Er5Pd2Ru for copper Kα, from a structure optimized by DFT (PBE).
Neutral-atom scattering factors, no anomalous dispersion.

Principal peaks in the range 2θ = 5–70°, by angle:
2theta  Rel. int.
28.28  62.1
32.38  100.0
32.61  55.3
35.03  90.9
37.02  55.1
42.11  60.8

Structural model:
Unit cell a=7.598 b=11.780 c=4.292 alpha=90.00 beta=90.00 gamma=90.00
Space group Pbam (No. 55)
Symmetry-distinct sites (fractional):
Er (0.000, 0.000, 0.000) x2
Er (0.158, 0.297, 0.000) x4
Er (0.180, 0.585, 0.500) x4
Pd (0.053, 0.832, 0.500) x4
Ru (0.000, 0.500, 0.000) x2

(5)
Theoretical X-ray diffraction stick pattern of MgTc2Ru for copper Kα, from a structure optimized by DFT (PBE).
Neutral-atom scattering factors, no anomalous dispersion.

Principal peaks in the range 2θ = 5–70°, by angle:
2theta  Rel. int.
9.87  71.2
39.56  100.0
40.26  29.9
46.21  62.2
66.93  20.5
67.90  20.5

Structural model:
Unit cell a=2.7961 b=2.7961 c=26.8777 alpha=90.00 beta=90.00 gamma=120.00
Space group R3m (No. 160, hexagonal axes)
Symmetry-distinct sites (fractional):
Mg (0.0000, 0.0000, 0.0000) x3
Tc (0.0000, 0.0000, 0.2439) x3
Tc (0.0000, 0.0000, 0.4986) x3
Ru (0.0000, 0.0000, 0.7523) x3

(6)
Theoretical X-ray diffraction stick pattern of PmPd2Pb2 for copper Kα, from a structure optimized by DFT (PBE).
Neutral-atom scattering factors, no anomalous dispersion.

Principal peaks in the range 2θ = 5–70°, by angle:
2theta  Rel. int.
25.68  25.1
36.01  27.9
37.09  100.0
37.26  25.3
52.79  18.7
65.45  19.2

Structural model:
Unit cell a=4.826 b=4.988 c=10.165 alpha=90.00 beta=90.13 gamma=90.00
Space group P2_1/m (No. 11)
Symmetry-distinct sites (fractional):
Pm (0.243, 0.250, 0.179) x2
Pd (0.248, 0.750, 0.332) x2
Pd (0.263, 0.750, 0.991) x2
Pb (0.248, 0.250, 0.838) x2
Pb (0.252, 0.250, 0.512) x2

(7)
Theoretical X-ray diffraction stick pattern of K3Bi3Pb2 for copper Kα, from a structure optimized by DFT (PBE).
Neutral-atom scattering factors, no anomalous dispersion.

Principal peaks in the range 2θ = 5–70°, by angle:
2theta  Rel. int.
14.89  100.0
19.68  98.4
28.09  81.8
29.31  71.4
30.47  70.1
33.45  79.6

Structural model:
Unit cell a=10.628 b=17.387 c=7.182 alpha=90.00 beta=90.00 gamma=90.00
Space group Pnma (No. 62)
Symmetry-distinct sites (fractional):
K (0.023, 0.112, 0.128) x8
K (0.147, 0.250, 0.579) x4
Bi (0.135, 0.043, 0.602) x8
Bi (0.199, 0.750, 0.610) x4
Pb (0.146, 0.607, 0.357) x8

(8)
Theoretical X-ray diffraction stick pattern of Pa3Ni4Ge for copper Kα, from a structure optimized by DFT (PBE).
Neutral-atom scattering factors, no anomalous dispersion.

Principal peaks in the range 2θ = 5–70°, by angle:
2theta  Rel. int.
24.23  60.9
29.97  21.1
31.91  100.0
39.94  29.5
41.00  34.9
54.45  21.8

Structural model:
Unit cell a=3.567 b=5.962 c=13.986 alpha=90.00 beta=90.00 gamma=90.00
Space group Immm (No. 71)
Symmetry-distinct sites (fractional):
Pa (0.000, 0.000, 0.000) x2
Pa (0.000, 0.500, 0.190) x4
Ni (0.000, 0.299, 0.371) x8
Ge (0.000, 0.000, 0.500) x2